Sm4Y5Ag: simulated powder XRD pattern (CuKα), based on a PBE-relaxed structure.

Top 10 peaks for 5° ≤ 2θ ≤ 70°, sorted by position:
| 2θ/deg | intensity |
| --- | --- |
| 28.9 | 9.1 |
| 31.0 | 100.0 |
| 33.3 | 11.3 |
| 35.3 | 41.4 |
| 37.1 | 9.1 |
| 49.3 | 9.1 |
| 50.7 | 14.5 |
| 52.1 | 13.5 |
| 59.3 | 10.0 |
| 60.6 | 28.5 |

Cell: 3.5980 3.5980 24.2252 Å, 90.00 90.00 90.00°
Atoms (fractional coordinates):
Sm: 0.0000 0.0000 0.1052
Sm: 0.0000 0.0000 0.3155
Sm: 0.0000 0.0000 0.6845
Sm: 0.0000 0.0000 0.8948
Y: 0.5000 0.5000 0.0000
Y: 0.5000 0.5000 0.2108
Y: 0.5000 0.5000 0.4223
Y: 0.5000 0.5000 0.5777
Y: 0.5000 0.5000 0.7892
Ag: 0.0000 0.0000 0.5000

***

SmY2Ag6: simulated powder XRD pattern (CuKα), based on a PBE-relaxed structure.

Top 10 peaks for 5° ≤ 2θ ≤ 70°, sorted by position:
| 2θ/deg | intensity |
| --- | --- |
| 33.1 | 66.2 |
| 33.9 | 58.4 |
| 35.4 | 51.8 |
| 37.4 | 100.0 |
| 40.4 | 36.0 |
| 43.8 | 28.4 |
| 52.1 | 16.5 |
| 57.0 | 12.7 |
| 61.9 | 21.5 |
| 62.6 | 20.7 |

Cell: 9.3675 9.3675 5.3356 Å, 90.02 90.02 120.41°
Atoms (fractional coordinates):
Sm: 0.2498 0.7502 0.7500
Sm: 0.7502 0.2498 0.2500
Y: 0.1655 0.3348 0.5000
Y: 0.3348 0.1655 0.0000
Y: 0.6652 0.8345 0.0000
Y: 0.8345 0.6652 0.5000
Ag: 0.0002 0.1650 0.9960
Ag: 0.9998 0.8350 0.0040
Ag: 0.0880 0.5882 0.2506
Ag: 0.1650 0.0002 0.4960
Ag: 0.3347 0.5001 0.0038
Ag: 0.4118 0.9120 0.2494
Ag: 0.5001 0.3347 0.5038
Ag: 0.4999 0.6653 0.4962
Ag: 0.5882 0.0880 0.7506
Ag: 0.6653 0.4999 0.9962
Ag: 0.8350 0.9998 0.5040
Ag: 0.9120 0.4118 0.7494

***

SmYAg: simulated powder XRD pattern (CuKα), based on a PBE-relaxed structure.

Top 10 peaks for 5° ≤ 2θ ≤ 70°, sorted by position:
| 2θ/deg | intensity |
| --- | --- |
| 30.4 | 87.7 |
| 31.2 | 100.0 |
| 32.2 | 98.0 |
| 33.0 | 66.4 |
| 33.3 | 34.7 |
| 34.1 | 66.7 |
| 39.6 | 49.0 |
| 39.9 | 41.8 |
| 47.6 | 33.9 |
| 59.8 | 34.6 |

Cell: 6.8191 6.8191 8.5220 Å, 124.95 124.95 32.57°
Atoms (fractional coordinates):
Sm: 0.1013 0.1013 0.3770
Sm: 0.8988 0.8988 0.6230
Y: 0.3493 0.3493 0.9415
Y: 0.6507 0.6507 0.0585
Ag: 0.3706 0.3706 0.3176
Ag: 0.6294 0.6294 0.6824

***

Sm2Zn4Ag5: simulated powder XRD pattern (CuKα), based on a PBE-relaxed structure.

Top 10 peaks for 5° ≤ 2θ ≤ 70°, sorted by position:
| 2θ/deg | intensity |
| --- | --- |
| 27.3 | 29.6 |
| 28.6 | 30.2 |
| 32.8 | 68.1 |
| 35.2 | 76.7 |
| 37.9 | 100.0 |
| 38.5 | 42.8 |
| 39.6 | 57.0 |
| 39.8 | 23.5 |
| 40.6 | 92.1 |
| 43.5 | 24.3 |

Cell: 6.8509 6.8509 6.8509 Å, 131.99 102.32 96.76°
Atoms (fractional coordinates):
Sm: 0.2106 0.2106 0.0000
Sm: 0.7894 0.7894 0.0000
Zn: 0.0833 0.7438 0.3395
Zn: 0.4042 0.7438 0.6605
Zn: 0.5958 0.2562 0.3395
Zn: 0.9167 0.2562 0.6605
Ag: 0.0000 0.5000 0.5000
Ag: 0.3154 0.2516 0.5670
Ag: 0.3154 0.7484 0.0639
Ag: 0.6846 0.2516 0.9361
Ag: 0.6846 0.7484 0.4330

***

Sm3Zn2Ag9: simulated powder XRD pattern (CuKα), based on a PBE-relaxed structure.

Top 10 peaks for 5° ≤ 2θ ≤ 70°, sorted by position:
| 2θ/deg | intensity |
| --- | --- |
| 28.6 | 22.0 |
| 33.1 | 86.5 |
| 33.8 | 100.0 |
| 33.9 | 22.5 |
| 35.4 | 29.1 |
| 36.0 | 28.8 |
| 39.4 | 56.9 |
| 41.4 | 30.8 |
| 52.4 | 19.2 |
| 66.3 | 24.9 |

Cell: 8.4724 8.4724 8.4724 Å, 148.70 106.80 81.75°
Atoms (fractional coordinates):
Sm: 0.0000 0.0000 0.0000
Sm: 0.2989 0.2989 0.0000
Sm: 0.7011 0.7011 0.0000
Zn: 0.3154 0.5000 0.8154
Zn: 0.6846 0.5000 0.1846
Ag: 0.0222 0.6570 0.3652
Ag: 0.1534 0.8709 0.2825
Ag: 0.2919 0.6570 0.6348
Ag: 0.4116 0.1291 0.2825
Ag: 0.5000 0.0000 0.5000
Ag: 0.5884 0.8709 0.7175
Ag: 0.7081 0.3430 0.3652
Ag: 0.8466 0.1291 0.7175
Ag: 0.9778 0.3430 0.6348

***

Sm11Zn9Ag4: simulated powder XRD pattern (CuKα), based on a PBE-relaxed structure.

Top 10 peaks for 5° ≤ 2θ ≤ 70°, sorted by position:
| 2θ/deg | intensity |
| --- | --- |
| 24.4 | 9.3 |
| 34.5 | 99.8 |
| 34.8 | 94.7 |
| 35.1 | 100.0 |
| 49.3 | 20.5 |
| 49.9 | 16.9 |
| 50.9 | 15.5 |
| 61.9 | 37.3 |
| 62.3 | 29.1 |
| 62.9 | 29.6 |

Cell: 13.0109 13.0109 3.6967 Å, 90.00 90.00 111.68°
Atoms (fractional coordinates):
Sm: 0.0000 0.0000 0.0000
Sm: 0.0694 0.4124 0.0000
Sm: 0.1717 0.8283 0.0000
Sm: 0.2468 0.2468 0.0000
Sm: 0.3460 0.6540 0.0000
Sm: 0.4124 0.0694 0.0000
Sm: 0.5876 0.9306 0.0000
Sm: 0.6540 0.3460 0.0000
Sm: 0.7532 0.7532 0.0000
Sm: 0.8283 0.1717 0.0000
Sm: 0.9306 0.5876 0.0000
Zn: 0.0390 0.2052 0.5000
Zn: 0.1413 0.6261 0.5000
Zn: 0.2052 0.0390 0.5000
Zn: 0.3739 0.8587 0.5000
Zn: 0.5000 0.5000 0.5000
Zn: 0.6261 0.1413 0.5000
Zn: 0.7948 0.9610 0.5000
Zn: 0.8587 0.3739 0.5000
Zn: 0.9610 0.7948 0.5000
Ag: 0.2739 0.4474 0.5000
Ag: 0.4474 0.2739 0.5000
Ag: 0.5526 0.7261 0.5000
Ag: 0.7261 0.5526 0.5000

***

Sm2ZnAg3: simulated powder XRD pattern (CuKα), based on a PBE-relaxed structure.

Top 10 peaks for 5° ≤ 2θ ≤ 70°, sorted by position:
| 2θ/deg | intensity |
| --- | --- |
| 21.5 | 5.4 |
| 25.9 | 1.7 |
| 34.0 | 100.0 |
| 37.8 | 73.4 |
| 46.4 | 1.7 |
| 51.7 | 29.7 |
| 53.3 | 8.9 |
| 65.8 | 28.1 |
| 67.2 | 25.8 |
| 68.2 | 12.2 |

Cell: 9.5226 8.9309 5.8753 Å, 77.00 66.04 36.95°
Atoms (fractional coordinates):
Sm: 0.2474 0.7526 0.7526
Sm: 0.2500 0.2500 0.2500
Sm: 0.7500 0.7500 0.7500
Sm: 0.7526 0.2474 0.2474
Zn: 0.3335 0.3335 0.6665
Zn: 0.6665 0.6665 0.3335
Ag: 0.1701 0.1701 0.8299
Ag: 0.1712 0.6587 0.3413
Ag: 0.3413 0.8288 0.1712
Ag: 0.6587 0.1712 0.8288
Ag: 0.8288 0.3413 0.6587
Ag: 0.8299 0.8299 0.1701

***

Sm5ZnAg4: simulated powder XRD pattern (CuKα), based on a PBE-relaxed structure.

Top 10 peaks for 5° ≤ 2θ ≤ 70°, sorted by position:
| 2θ/deg | intensity |
| --- | --- |
| 23.9 | 1.9 |
| 24.2 | 3.8 |
| 34.3 | 100.0 |
| 34.4 | 49.7 |
| 42.4 | 1.8 |
| 49.0 | 8.8 |
| 49.5 | 17.6 |
| 55.8 | 0.9 |
| 61.2 | 17.7 |
| 61.6 | 35.6 |

Cell: 3.6842 3.6842 18.5983 Å, 90.00 90.00 90.00°
Atoms (fractional coordinates):
Sm: 0.0000 0.0000 0.0000
Sm: 0.0000 0.0000 0.2022
Sm: 0.0000 0.0000 0.4045
Sm: 0.0000 0.0000 0.5955
Sm: 0.0000 0.0000 0.7978
Zn: 0.5000 0.5000 0.5000
Ag: 0.5000 0.5000 0.1003
Ag: 0.5000 0.5000 0.3034
Ag: 0.5000 0.5000 0.6966
Ag: 0.5000 0.5000 0.8997